# Na2Co4F9
Computed X-ray diffraction stick pattern, Cu Ka. Input: a PBE+U-relaxed structure.
No peak broadening, texture or thermal motion is included.

Peak list (10 most intense, 2θ from 10° to 90°, by intensity)
| 2θ (°) | d [Å] | I/Imax |
| --- | --- | --- |
| 31.19 | 2.868 | 100 |
| 50.54 | 1.806 | 87 |
| 32.56 | 2.750 | 73 |
| 18.63 | 4.763 | 54 |
| 22.40 | 3.970 | 53 |
| 58.10 | 1.588 | 53 |
| 37.72 | 2.385 | 48 |
| 45.71 | 1.985 | 46 |
| 57.24 | 1.609 | 41 |
| 68.19 | 1.375 | 26 |

```
data_Na2Co4F9
_cell_length_a 5.5001
_cell_length_b 5.5001
_cell_length_c 14.3668
_cell_angle_alpha 90.00
_cell_angle_beta 90.00
_cell_angle_gamma 120.00
_symmetry_space_group_name_H-M 'P -3 c 1'
_symmetry_Int_Tables_number 165
_symmetry_space_group_name_Hall '-P 3 2"c'
loop_
_atom_site_label
_atom_site_type_symbol
_atom_site_fract_x
_atom_site_fract_y
_atom_site_fract_z
Na1 Na 0.0000 0.0000 0.1468
Co1 Co 0.3333 0.6667 0.1838
Co2 Co 0.3333 0.6667 0.4835
F1 F 0.0000 0.3321 0.2500
F2 F 0.0278 0.3802 0.5807
```